This entry pairs a crystal structure of Sr2Hg7 with its calculated X-ray powder pattern. Radiation: a wavelength of 1.5418 Å. Structure: DFT lattice parameters and positions (GGA-PBE).
Peak positions follow from Bragg's law for the DFT cell and can differ from measured ones.

Principal peaks in the range 10 to 90 degrees two-theta, in order of falling intensity:
- 33.80°, rel. 100
- 37.20°, rel. 51
- 16.93°, rel. 47
- 33.06°, rel. 40
- 38.87°, rel. 28
- 60.94°, rel. 28
- 71.11°, rel. 27
- 54.98°, rel. 25
- 34.10°, rel. 21
- 35.64°, rel. 18

```
Sr2Hg7
1.0
3.041 1.755 16.256
-3.041 1.755 16.256
0.000 -3.511 16.256
Sr Hg
4 14
Cartesian
0.000 0.000 2.316 Sr
0.000 0.000 7.213 Sr
0.000 0.000 41.555 Sr
0.000 0.000 46.453 Sr
-1.520 -0.878 16.256 Hg
-1.547 -0.893 21.793 Hg
0.000 0.000 13.502 Hg
0.000 -1.786 26.976 Hg
-1.547 0.893 26.976 Hg
0.000 0.000 19.130 Hg
-1.520 0.878 32.513 Hg
0.000 1.755 16.256 Hg
0.000 0.000 24.384 Hg
0.000 0.000 29.639 Hg
1.547 -0.893 21.793 Hg
0.000 1.786 21.793 Hg
0.000 0.000 35.267 Hg
1.547 0.893 26.976 Hg
```